Computed powder X-ray diffraction pattern
Compound: Tc2NiAs8
Radiation: a wavelength of 1.5418 Å
Structure: a cell relaxed with GGA-PBE
Neutral-atom scattering factors, no anomalous dispersion.

Crystal structure
a b c (Å): 7.476 7.476 4.725
angles (deg): 90.00 90.00 120.00
Fractional positions:
Tc  0.333  0.667  0.275
Tc  0.667  0.333  0.725
Ni  0.000  0.000  0.500
As  0.148  0.296  0.186
As  0.148  0.852  0.186
As  0.296  0.148  0.814
As  0.333  0.667  0.762
As  0.667  0.333  0.238
As  0.704  0.852  0.186
As  0.852  0.148  0.814
As  0.852  0.704  0.814

Principal peaks in the range 2θ from 15° to 90°, sorted by position:
Position (°2θ)  intensity
23.31  37.6
23.80  85.6
27.55  78.5
33.56  100.0
38.09  36.1
41.56  49.0
47.65  85.2
48.72  96.4
53.94  32.9
63.46  39.8

Computed powder X-ray diffraction pattern
Compound: TcNiAs2
Radiation: a wavelength of 1.5418 Å
Structure: a cell relaxed with GGA-PBE
Neutral-atom scattering factors, no anomalous dispersion.

Crystal structure
a b c (Å): 3.219 4.616 4.643
angles (deg): 90.00 110.12 90.00
Fractional positions:
Tc  0.000  0.000  0.000
Ni  0.415  0.500  0.831
As  0.114  0.500  0.229
As  0.296  0.000  0.589

Principal peaks in the range 2θ from 15° to 90°, sorted by position:
Position (°2θ)  intensity
20.37  25.9
29.58  100.0
39.02  75.9
46.04  64.1
46.41  64.6
46.52  64.2
49.72  46.1
57.24  24.0
71.46  24.2
75.96  28.9

Computed powder X-ray diffraction pattern
Compound: Ni5Te2As
Radiation: a wavelength of 1.5418 Å
Structure: a cell relaxed with GGA-PBE
Neutral-atom scattering factors, no anomalous dispersion.

Crystal structure
a b c (Å): 3.772 3.772 18.926
angles (deg): 90.00 90.00 90.00
Fractional positions:
Ni  0.000  0.000  0.000
Ni  0.000  0.500  0.086
Ni  0.000  0.500  0.414
Ni  0.000  0.500  0.586
Ni  0.000  0.500  0.914
Ni  0.500  0.000  0.086
Ni  0.500  0.000  0.414
Ni  0.500  0.000  0.586
Ni  0.500  0.000  0.914
Ni  0.500  0.500  0.500
Te  0.000  0.000  0.174
Te  0.000  0.000  0.826
Te  0.500  0.500  0.326
Te  0.500  0.500  0.674
As  0.000  0.000  0.500
As  0.500  0.500  0.000

Principal peaks in the range 2θ from 15° to 90°, sorted by position:
Position (°2θ)  intensity
24.06  13.4
27.55  60.3
33.56  17.8
38.76  15.5
44.48  100.0
48.25  40.4
56.47  16.2
70.63  12.2
79.17  15.4
87.41  26.7

Computed powder X-ray diffraction pattern
Compound: TlNiAs
Radiation: a wavelength of 1.5418 Å
Structure: a cell relaxed with GGA-PBE
Neutral-atom scattering factors, no anomalous dispersion.

Crystal structure
a b c (Å): 4.206 4.231 7.570
angles (deg): 85.49 89.95 82.14
Fractional positions:
Tl  0.230  0.255  0.338
Tl  0.770  0.745  0.662
Ni  0.204  0.705  0.997
Ni  0.796  0.295  0.003
As  0.303  0.213  0.867
As  0.697  0.787  0.133

Principal peaks in the range 2θ from 15° to 90°, sorted by position:
Position (°2θ)  intensity
23.51  46.5
28.10  100.0
30.64  90.1
31.84  87.4
32.17  100.0
32.36  55.3
33.23  96.1
35.70  44.9
43.32  67.3
43.45  63.5

Computed powder X-ray diffraction pattern
Compound: Tm2NiAs2
Radiation: a wavelength of 1.5418 Å
Structure: a cell relaxed with GGA-PBE
Neutral-atom scattering factors, no anomalous dispersion.

Crystal structure
a b c (Å): 4.077 4.077 13.942
angles (deg): 90.00 90.00 120.00
Fractional positions:
Tm  0.333  0.667  0.000
Tm  0.333  0.667  0.265
Tm  0.667  0.333  0.500
Tm  0.667  0.333  0.765
Ni  0.000  0.000  0.123
Ni  0.000  0.000  0.623
As  0.000  0.000  0.384
As  0.000  0.000  0.884
As  0.333  0.667  0.636
As  0.667  0.333  0.136

Principal peaks in the range 2θ from 15° to 90°, sorted by position:
Position (°2θ)  intensity
26.03  30.1
31.83  100.0
36.21  56.3
41.26  25.8
44.44  68.2
55.70  20.5
58.62  13.7
71.18  29.3
73.89  17.8
76.43  12.4

Computed powder X-ray diffraction pattern
Compound: TmNiAs
Radiation: a wavelength of 1.5418 Å
Structure: a cell relaxed with GGA-PBE
Neutral-atom scattering factors, no anomalous dispersion.

Crystal structure
a b c (Å): 4.027 4.027 3.817
angles (deg): 90.00 90.00 120.00
Fractional positions:
Tm  0.000  0.000  0.000
Ni  0.333  0.667  0.500
As  0.667  0.333  0.500

Principal peaks in the range 2θ from 15° to 90°, sorted by position:
Position (°2θ)  intensity
25.54  17.9
34.85  100.0
45.02  40.9
47.65  11.5
54.83  4.7
58.16  22.7
67.63  23.8
76.45  20.2
80.33  8.9
83.08  6.8

Computed powder X-ray diffraction pattern
Compound: Tm5Zr3Ni16As12
Radiation: a wavelength of 1.5418 Å
Structure: a cell relaxed with GGA-PBE
Neutral-atom scattering factors, no anomalous dispersion.

Crystal structure
a b c (Å): 12.744 12.744 3.909
angles (deg): 90.00 90.00 120.00
Fractional positions:
Tm  0.000  0.183  0.000
Tm  0.183  0.000  0.000
Tm  0.333  0.667  0.500
Tm  0.667  0.333  0.500
Tm  0.817  0.817  0.000
Zr  0.000  0.563  0.500
Zr  0.437  0.437  0.500
Zr  0.563  0.000  0.500
Ni  0.000  0.000  0.500
Ni  0.000  0.724  0.000
Ni  0.122  0.483  0.000
Ni  0.184  0.808  0.500
Ni  0.192  0.376  0.500
Ni  0.276  0.276  0.000
Ni  0.362  0.878  0.000
Ni  0.376  0.192  0.500
Ni  0.483  0.122  0.000
Ni  0.517  0.638  0.000
Ni  0.624  0.816  0.500
Ni  0.638  0.517  0.000
Ni  0.724  0.000  0.000
Ni  0.808  0.184  0.500
Ni  0.816  0.624  0.500
Ni  0.878  0.362  0.000
As  0.000  0.355  0.500
As  0.000  0.823  0.500
As  0.173  0.693  0.000
As  0.177  0.177  0.500
As  0.307  0.480  0.000
As  0.355  0.000  0.500
As  0.480  0.307  0.000
As  0.520  0.827  0.000
As  0.645  0.645  0.500
As  0.693  0.173  0.000
As  0.823  0.000  0.500
As  0.827  0.520  0.000

Principal peaks in the range 2θ from 15° to 90°, sorted by position:
Position (°2θ)  intensity
29.17  12.5
33.45  28.2
36.38  100.0
37.32  80.5
45.77  12.5
46.46  35.6
49.56  33.6
55.85  22.2
70.27  22.2
74.44  13.8

Computed powder X-ray diffraction pattern
Compound: UNi6As4
Radiation: a wavelength of 1.5418 Å
Structure: a cell relaxed with GGA-PBE
Neutral-atom scattering factors, no anomalous dispersion.

Crystal structure
a b c (Å): 6.123 6.123 6.123
angles (deg): 118.57 118.57 92.50
Fractional positions:
U  0.000  0.000  0.000
Ni  0.000  0.500  0.500
Ni  0.236  0.236  0.700
Ni  0.464  0.764  0.000
Ni  0.500  0.000  0.500
Ni  0.536  0.536  0.300
Ni  0.764  0.464  0.000
As  0.126  0.556  0.000
As  0.444  0.444  0.570
As  0.556  0.126  0.000
As  0.874  0.874  0.430

Principal peaks in the range 2θ from 15° to 90°, sorted by position:
Position (°2θ)  intensity
20.08  38.7
20.98  31.2
33.75  95.8
34.87  71.2
35.69  100.0
40.81  65.1
44.77  66.0
50.96  29.8
52.18  59.8
62.88  36.0